Co2NiGe2: computed PXRD pattern (Cu Kα (λ = 1.5418 Å)), based on a GGA-PBE-relaxed structure.
Kinematic intensities with the Lorentz-polarization factor, no thermal factor.

Main lines, low angle first (2θ = 5–70°):
3.818 Å, 23.30°, intensity 69, (0 1 0); 2.769 Å, 32.33°, intensity 87, (1 0 2); 2.759 Å, 32.46°, intensity 167, (1 1 1); 2.510 Å, 35.77°, intensity 84, (0 1 2); 2.242 Å, 40.23°, intensity 108, (1 1 2); 1.992 Å, 45.53°, intensity 1000, (2 1 1); 1.920 Å, 47.35°, intensity 555, (0 1 3); 1.909 Å, 47.64°, intensity 314, (0 2 0); 1.385 Å, 67.66°, intensity 117, (2 0 4); 1.379 Å, 67.96°, intensity 163, (2 2 2)

Atomic structure:
```
data_Co2NiGe2
_cell_length_a 4.983
_cell_length_b 3.818
_cell_length_c 6.663
_cell_angle_alpha 90.00
_cell_angle_beta 90.00
_cell_angle_gamma 90.00
_space_group_name_H-M_alt 'P m m a'
_space_group_IT_number 51
_space_group_name_Hall '-P 2a 2a'
loop_
_atom_site_label
_atom_site_fract_x
_atom_site_fract_y
_atom_site_fract_z
_atom_site_occupancy
Co1 0.000 0.000 0.000 1
Co2 0.250 0.000 0.335 1
Ni1 0.000 0.500 0.500 1
Ge1 0.250 0.000 0.689 1
Ge2 0.250 0.500 0.131 1
```

CoNi4Ge2: computed PXRD pattern (Cu Kα (λ = 1.5418 Å)), based on a GGA-PBE-relaxed structure.
Kinematic intensities with the Lorentz-polarization factor, no thermal factor.

Main lines, low angle first (2θ = 5–70°):
2.454 Å, 36.62°, intensity 264, (0 2 0); 2.400 Å, 37.47°, intensity 514, (3 1 1); 2.287 Å, 39.39°, intensity 263, (1 1 3); 2.194 Å, 41.15°, intensity 481, (4 0 0); 2.142 Å, 42.20°, intensity 340, (2 2 0); 2.100 Å, 43.08°, intensity 423, (0 2 2); 2.029 Å, 44.66°, intensity 458, (0 0 4); 1.930 Å, 47.09°, intensity 130, (4 0 2); 1.894 Å, 48.04°, intensity 842, (2 2 2); 1.841 Å, 49.51°, intensity 1000, (3 1 3)

Atomic structure:
```
data_CoNi4Ge2
_cell_length_a 8.775
_cell_length_b 4.907
_cell_length_c 8.116
_cell_angle_alpha 90.00
_cell_angle_beta 90.00
_cell_angle_gamma 90.00
_space_group_name_H-M_alt 'C m c e'
_space_group_IT_number 64
_space_group_name_Hall '-C 2ac 2'
loop_
_atom_site_label
_atom_site_fract_x
_atom_site_fract_y
_atom_site_fract_z
_atom_site_occupancy
Co1 0.000 0.000 0.000 1
Ni1 0.000 0.001 0.303 1
Ni2 0.250 0.249 0.750 1
Ge1 0.192 0.000 0.500 1
```

Question: Which formula does entry 1 have?
Answer: Co2NiGe2